Calculated X-ray powder pattern
Compound: K8SnO6
Radiation: Cu Kα
Structure: the GGA-PBE geometry in Alexandria

Top 6 peaks for 2θ = 10–80°, low angle first:
hkl 1 0 1, d = 6.423 Å, intensity 84
hkl 2 1 1, d = 3.287 Å, intensity 48
hkl 2 0 2, d = 3.211 Å, intensity 100
hkl 0 2 2, d = 3.114 Å, intensity 71
hkl 1 2 2, d = 2.888 Å, intensity 52
hkl 2 0 4, d = 2.307 Å, intensity 64

Cell and atoms:
abc: 7.740 7.404 11.508
angles: 90.00 90.00 90.00
Space group Pmn2_1 (No. 31)
Symmetry-distinct sites (fractional):
K1 0.000 0.091 0.074 [2 per cell]
K2 0.000 0.155 0.601 [2 per cell]
K3 0.197 0.545 0.779 [4 per cell]
K4 0.213 0.651 0.500 [4 per cell]
K5 0.220 0.978 0.816 [4 per cell]
Sn1 0.000 0.668 0.100 [2 per cell]
O1 0.000 0.244 0.860 [2 per cell]
O2 0.000 0.413 0.158 [2 per cell]
O3 0.000 0.788 0.658 [2 per cell]
O4 0.000 0.831 0.239 [2 per cell]
O5 0.211 0.714 0.002 [4 per cell]

Calculated X-ray powder pattern
Compound: KRe4Se8
Radiation: Cu Kα
Structure: the GGA-PBE geometry in Alexandria

Top 6 peaks for 2θ = 10–80°, low angle first:
hkl 0 0 1, d = 8.288 Å, intensity 100
hkl 2 0 1, d = 2.881 Å, intensity 6
hkl 2 2 0, d = 2.811 Å, intensity 7
hkl 0 2 2, d = 2.673 Å, intensity 10
hkl 2 0 2, d = 2.527 Å, intensity 11
hkl 2 2 -1, d = 2.462 Å, intensity 8

Cell and atoms:
abc: 6.778 6.859 8.649
angles: 74.25 77.99 61.59
Space group P1 (No. 1)
Symmetry-distinct sites (fractional):
K1 0.000 0.000 0.000 [1 per cell]
Re1 0.445 0.389 0.490 [1 per cell]
Re2 0.472 0.786 0.502 [1 per cell]
Re3 0.869 0.377 0.498 [1 per cell]
Re4 0.898 0.775 0.512 [1 per cell]
Se1 0.101 0.026 0.356 [1 per cell]
Se2 0.122 0.540 0.308 [1 per cell]
Se3 0.221 0.623 0.694 [1 per cell]
Se4 0.242 0.137 0.644 [1 per cell]
Se5 0.612 0.065 0.326 [1 per cell]
Se6 0.625 0.586 0.271 [1 per cell]
Se7 0.717 0.578 0.730 [1 per cell]
Se8 0.729 0.098 0.676 [1 per cell]

Calculated X-ray powder pattern
Compound: BaCe2CrN5
Radiation: Cu Kα
Structure: the GGA-PBE geometry in Alexandria

Top 6 peaks for 2θ = 10–80°, low angle first:
hkl 2 1 1, d = 2.962 Å, intensity 46
hkl 2 0 2, d = 2.928 Å, intensity 100
hkl 0 0 4, d = 2.802 Å, intensity 33
hkl 2 2 0, d = 2.428 Å, intensity 26
hkl 2 1 3, d = 2.373 Å, intensity 47
hkl 2 0 6, d = 1.641 Å, intensity 24

Cell and atoms:
abc: 6.868 6.868 11.209
angles: 90.00 90.00 90.00
Space group I4/mcm (No. 140)
Symmetry-distinct sites (fractional):
Ba1 0.000 0.000 0.250 [4 per cell]
Ce1 0.182 0.318 0.000 [8 per cell]
Cr1 0.000 0.500 0.250 [4 per cell]
N1 0.000 0.000 0.000 [4 per cell]
N2 0.137 0.363 0.354 [16 per cell]

Calculated X-ray powder pattern
Compound: Cs3Te13Mo12
Radiation: Cu Kα
Structure: the GGA-PBE geometry in Alexandria

Top 6 peaks for 2θ = 10–80°, low angle first:
hkl 2 -1 12, d = 3.390 Å, intensity 79
hkl 3 0 0, d = 3.011 Å, intensity 55
hkl 2 2 12, d = 2.252 Å, intensity 100
hkl 0 0 24, d = 2.230 Å, intensity 48
hkl 5 -3 11, d = 1.907 Å, intensity 32
hkl 5 3 11, d = 1.248 Å, intensity 20

Cell and atoms:
abc: 10.4287 10.4287 53.5601
angles: 90.00 90.00 120.00
Space group R-3 (No. 148, hexagonal axes)
Symmetry-distinct sites (fractional):
Cs1 0.0000 0.0000 0.0547 [6 per cell]
Cs2 0.0000 0.0000 0.1448 [6 per cell]
Cs3 0.0000 0.0000 0.2344 [6 per cell]
Te1 0.0000 0.0000 0.3064 [6 per cell]
Te2 0.0011 0.3754 0.2312 [18 per cell]
Te3 0.0006 0.3767 0.1449 [18 per cell]
Te4 0.0042 0.3727 0.3162 [18 per cell]
Te5 0.0078 0.3750 0.0582 [18 per cell]
Mo1 0.0150 0.1562 0.6082 [18 per cell]
Mo2 0.0179 0.1550 0.3487 [18 per cell]
Mo3 0.0184 0.1554 0.4349 [18 per cell]
Mo4 0.0196 0.1567 0.5213 [18 per cell]